Entry 1:
Diffraction record for KTmFe2I8. The powder X-ray diffraction pattern is simulated, not measured: it uses the PBE geometry in Alexandria and a wavelength of 1.5418 Å.
Kinematic intensities with the Lorentz-polarization factor, no thermal factor.

Atomic structure:
```
data_KTmFe2I8
_chemical_formula_sum 'K2 Tm2 Fe4 I16'
_cell_length_a 12.2029
_cell_length_b 8.4133
_cell_length_c 10.3680
_cell_angle_alpha 90.00
_cell_angle_beta 93.23
_cell_angle_gamma 90.00
_symmetry_space_group_name_H-M 'C 1 2/m 1'
_symmetry_Int_Tables_number 12
loop_
_symmetry_equiv_pos_as_xyz
'x,y,z'
'-x,-y,-z'
'-x,y,-z'
'x,-y,z'
'x+1/2,y+1/2,z'
'-x+1/2,-y+1/2,-z'
'-x+1/2,y+1/2,-z'
'x+1/2,-y+1/2,z'
loop_
_atom_site_label
_atom_site_type_symbol
_atom_site_fract_x
_atom_site_fract_y
_atom_site_fract_z
K1 K 0.0000 0.0000 0.0000
Tm1 Tm 0.0000 0.0000 0.5000
Fe1 Fe 0.1302 0.5000 0.2824
I1 I 0.0076 0.2505 0.7101
I2 I 0.2101 0.5000 0.0610
I3 I 0.2454 0.0000 0.5023
```

Top 12 peaks for 2θ from 5° to 70°, in order of rising 2θ:
2θ = 8.5°, intensity 62, hkl 0 0 1
2θ = 15.2°, intensity 54, hkl 1 1 -1
2θ = 21.9°, intensity 30, hkl 2 0 -2
2θ = 23.2°, intensity 38, hkl 2 0 2
2θ = 24.3°, intensity 29, hkl 3 1 0
2θ = 25.7°, intensity 74, hkl 2 2 0
2θ = 27.3°, intensity 100, hkl 0 2 2
2θ = 29.3°, intensity 42, hkl 4 0 0
2θ = 39.7°, intensity 32, hkl 4 2 -2
2θ = 41.3°, intensity 57, hkl 4 2 2
2θ = 43.0°, intensity 27, hkl 0 4 0
2θ = 44.1°, intensity 27, hkl 4 2 -3

Entry 2:
Diffraction record for Sb2As2O7. The powder X-ray diffraction pattern is simulated, not measured: it uses the PBE geometry in Alexandria and a wavelength of 1.5418 Å.
Kinematic intensities with the Lorentz-polarization factor, no thermal factor.

Atomic structure:
```
data_Sb2As2O7
_chemical_formula_sum 'Sb4 As4 O14'
_cell_length_a 8.0917
_cell_length_b 8.4129
_cell_length_c 4.8941
_cell_angle_alpha 90.00
_cell_angle_beta 95.17
_cell_angle_gamma 90.00
_symmetry_space_group_name_H-M 'C 1 2/m 1'
_symmetry_Int_Tables_number 12
loop_
_symmetry_equiv_pos_as_xyz
'x,y,z'
'-x,-y,-z'
'-x,y,-z'
'x,-y,z'
'x+1/2,y+1/2,z'
'-x+1/2,-y+1/2,-z'
'-x+1/2,y+1/2,-z'
'x+1/2,-y+1/2,z'
loop_
_atom_site_label
_atom_site_type_symbol
_atom_site_fract_x
_atom_site_fract_y
_atom_site_fract_z
Sb1 Sb 0.0000 0.1991 0.0000
As1 As 0.2348 0.5000 0.4513
O1 O 0.0000 0.5000 0.5000
O2 O 0.0943 0.0000 0.2308
O3 O 0.2106 0.1652 0.7459
```

Top 12 peaks for 2θ from 5° to 70°, in order of rising 2θ:
2θ = 15.2°, intensity 23, hkl 1 1 0
2θ = 24.6°, intensity 33, hkl 1 1 1
2θ = 27.4°, intensity 61, hkl 2 0 -1
2θ = 28.0°, intensity 100, hkl 0 2 1
2θ = 30.0°, intensity 44, hkl 2 0 1
2θ = 30.7°, intensity 51, hkl 2 2 0
2θ = 33.8°, intensity 23, hkl 1 3 0
2θ = 45.0°, intensity 18, hkl 4 0 0
2θ = 47.1°, intensity 25, hkl 2 2 -2
2θ = 50.4°, intensity 17, hkl 2 2 2
2θ = 51.7°, intensity 24, hkl 1 3 2
2θ = 52.3°, intensity 19, hkl 4 2 -1